For Ta3SbCN, a structure optimized by DFT (PBE) gives the computed powder X-ray diffraction pattern in this record (CuKα).
Intensities are scaled so that the largest is 100.

Structural model:
Cell lengths 3.2436, 3.2436, 18.5114 Å; angles 90.00, 90.00, 120.00 degrees
Space group P-3m1 (No. 164)
Unique sites:
Ta  0.0000  0.0000  0.0000
Ta  0.0000  0.0000  0.5000
Ta  0.3333  0.6667  0.1292
Ta  0.3333  0.6667  0.3698
Sb  0.0000  0.0000  0.2474
C  0.3333  0.6667  0.5707
N  0.3333  0.6667  0.9348

The 10 most intense peaks (2θ from 15° to 90°), low angle first:
32.2°, I 30
35.1°, I 17
37.5°, I 100
38.9°, I 25
40.3°, I 25
55.4°, I 11
56.8°, I 30
69.5°, I 15
70.0°, I 16
71.0°, I 27

For Sb2W4CN, a structure optimized by DFT (PBE) gives the computed powder X-ray diffraction pattern in this record (CuKα).
Intensities are scaled so that the largest is 100.

Structural model:
Cell lengths 3.3322, 3.3322, 12.6428 Å; angles 90.00, 90.00, 120.00 degrees
Space group P-3m1 (No. 164)
Unique sites:
Sb  0.3333  0.6667  0.2484
W  0.3333  0.6667  0.5809
W  0.3333  0.6667  0.9235
C  0.0000  0.0000  0.5000
N  0.0000  0.0000  0.0000

The 10 most intense peaks (2θ from 15° to 90°), low angle first:
31.0°, I 26
37.8°, I 100
42.9°, I 15
53.9°, I 13
55.1°, I 24
64.6°, I 3
68.8°, I 17
72.3°, I 19
75.2°, I 13
80.7°, I 4

For Zr3SbCN, a structure optimized by DFT (PBE) gives the computed powder X-ray diffraction pattern in this record (CuKα).
Intensities are scaled so that the largest is 100.

Structural model:
Cell lengths 3.3739, 3.3739, 19.4587 Å; angles 90.00, 90.00, 120.00 degrees
Space group P-3m1 (No. 164)
Unique sites:
Zr  0.0000  0.0000  0.0000
Zr  0.0000  0.0000  0.5000
Zr  0.3333  0.6667  0.1301
Zr  0.3333  0.6667  0.3675
Sb  0.0000  0.0000  0.2480
C  0.3333  0.6667  0.5716
N  0.3333  0.6667  0.9330

The 10 most intense peaks (2θ from 15° to 90°), low angle first:
30.6°, I 9
30.9°, I 19
35.9°, I 100
37.0°, I 22
38.5°, I 20
52.7°, I 9
54.4°, I 27
65.9°, I 15
66.9°, I 15
67.6°, I 22

For Si2W8C3N3, a structure optimized by DFT (PBE) gives the computed powder X-ray diffraction pattern in this record (CuKα).
Intensities are scaled so that the largest is 100.

Structural model:
Cell lengths 2.9963, 2.9963, 23.8093 Å; angles 90.00, 90.00, 120.00 degrees
Space group P-3m1 (No. 164)
Unique sites:
Si  0.3333  0.6667  0.2459
W  0.0000  0.0000  0.1637
W  0.0000  0.0000  0.3238
W  0.3333  0.6667  0.0551
W  0.3333  0.6667  0.4403
C  0.0000  0.0000  0.0000
C  0.3333  0.6667  0.8884
N  0.0000  0.0000  0.5000
N  0.3333  0.6667  0.6168

The 10 most intense peaks (2θ from 15° to 90°), low angle first:
30.0°, I 44
35.4°, I 62
36.4°, I 34
37.8°, I 33
39.6°, I 60
41.6°, I 100
58.6°, I 24
62.0°, I 58
70.4°, I 25
77.4°, I 19

What did the second record say?
For Sb2W4CN, a structure optimized by DFT (PBE) gives the computed powder X-ray diffraction pattern in this record (CuKα).
Intensities are scaled so that the largest is 100.

Structural model:
Cell lengths 3.3322, 3.3322, 12.6428 Å; angles 90.00, 90.00, 120.00 degrees
Space group P-3m1 (No. 164)
Unique sites:
Sb  0.3333  0.6667  0.2484
W  0.3333  0.6667  0.5809
W  0.3333  0.6667  0.9235
C  0.0000  0.0000  0.5000
N  0.0000  0.0000  0.0000

The 10 most intense peaks (2θ from 15° to 90°), low angle first:
31.0°, I 26
37.8°, I 100
42.9°, I 15
53.9°, I 13
55.1°, I 24
64.6°, I 3
68.8°, I 17
72.3°, I 19
75.2°, I 13
80.7°, I 4